Simulated powder diffractogram of SrTaNi10 for copper Kα, from a crystal structure in Alexandria, relaxed with GGA-PBE.
Kinematic intensities with the Lorentz-polarization factor, no thermal factor.

Largest 8 diffraction maxima, by intensity, 10° ≤ 2θ ≤ 90°:
2θ = 43.7°, I 100.0, hkl 1 1 3
2θ = 31.0°, I 66.6, hkl 1 1 1
2θ = 43.9°, I 51.5, hkl 1 2 0
2θ = 45.7°, I 44.6, hkl 2 0 0
2θ = 10.5°, I 43.1, hkl 0 0 1
2θ = 43.2°, I 32.4, hkl 0 2 2
2θ = 37.1°, I 26.7, hkl 0 1 3
2θ = 71.7°, I 20.2, hkl 1 3 3

Structural model:
```
data_SrTaNi10
_symmetry_space_group_name_H-M 'P m m m'
_symmetry_Int_Tables_number 47
_symmetry_space_group_name_Hall '-P 2 2'
_cell_length_a 3.967
_cell_length_b 4.827
_cell_length_c 8.420
_cell_angle_alpha 90.00
_cell_angle_beta 90.00
_cell_angle_gamma 90.00
loop_
_atom_site_label
_atom_site_type_symbol
_atom_site_fract_x
_atom_site_fract_y
_atom_site_fract_z
Sr1 Sr 0.000 0.000 0.000
Ta1 Ta 0.000 0.500 0.500
Ni1 Ni 0.000 0.000 0.348
Ni2 Ni 0.000 0.500 0.194
Ni3 Ni 0.500 0.000 0.500
Ni4 Ni 0.500 0.260 0.269
Ni5 Ni 0.500 0.500 0.000
```